1.
# CaZn7Ag12
Theoretical XRD peak list, Cu Ka. Input: DFT lattice parameters and positions (GGA-PBE).
Peak positions follow from Bragg's law for the DFT cell and can differ from measured ones.

Top 10 peaks for 2θ from 10° to 90°, in order of rising 2θ:
two_theta, I (rel.), index
22.64, 735, 2 1 1
29.35, 920, 3 1 0
34.89, 983, 3 2 1
37.39, 617, 4 0 0
39.75, 284, 3 3 0
42.00, 963, 4 0 2
46.22, 1000, 4 2 2
55.71, 636, 5 3 0
73.68, 511, 6 4 2
78.23, 299, 7 2 3

Crystal structure
a = 9.622 Å, b = 9.622 Å, c = 9.622 Å
α = 90.00°, β = 90.00°, γ = 90.00°
Space group Im-3 (No. 204)
Inequivalent atoms, fractional coordinates:
Ca (0.000, 0.000, 0.000)
Zn (0.000, 0.000, 0.500)
Zn (0.250, 0.250, 0.250)
Ag (0.000, 0.153, 0.273)

2.
# Pr3Nd4In4
Theoretical XRD peak list, Cu Ka. Input: DFT lattice parameters and positions (GGA-PBE).
Peak positions follow from Bragg's law for the DFT cell and can differ from measured ones.

Top 10 peaks for 2θ from 10° to 90°, in order of rising 2θ:
two_theta, I (rel.), index
27.22, 294, 1 0 3
30.34, 1000, 1 2 1
31.02, 792, 0 3 3
31.27, 876, 1 1 4
32.91, 414, 1 0 5
33.17, 524, 0 2 6
37.83, 321, 1 3 2
48.01, 264, 2 0 0
56.77, 301, 1 5 4
60.62, 349, 1 2 11

Crystal structure
a = 3.790 Å, b = 9.644 Å, c = 19.559 Å
α = 90.00°, β = 90.00°, γ = 90.00°
Space group Immm (No. 71)
Inequivalent atoms, fractional coordinates:
Pr (0.000, 0.000, 0.000)
Pr (0.000, 0.500, 0.096)
Nd (0.000, 0.319, 0.336)
In (0.000, 0.000, 0.270)
In (0.000, 0.220, 0.500)

3.
# Ta2Be16Al
Theoretical XRD peak list, Cu Ka. Input: DFT lattice parameters and positions (GGA-PBE).
Peak positions follow from Bragg's law for the DFT cell and can differ from measured ones.

Top 10 peaks for 2θ from 10° to 90°, in order of rising 2θ:
two_theta, I (rel.), index
15.92, 580, 1 0 1
23.77, 1000, 1 1 0
24.62, 252, 0 0 3
34.49, 729, 1 1 3
35.89, 224, 1 0 4
41.80, 304, 3 0 0
48.65, 219, 2 2 0
49.11, 353, 0 3 3
50.17, 187, 2 1 4
71.62, 183, 4 1 3

Crystal structure
a = 7.4866 Å, b = 7.4866 Å, c = 10.8477 Å
α = 90.00°, β = 90.00°, γ = 120.00°
Space group R3m (No. 160, hexagonal axes)
Inequivalent atoms, fractional coordinates:
Ta (0.0000, 0.0000, 0.0000)
Ta (0.0000, 0.0000, 0.3093)
Be (0.0000, 0.0000, 0.7675)
Be (0.0000, 0.3027, 0.6568)
Be (0.0125, 0.5062, 0.8117)
Be (0.1696, 0.3392, 0.8332)
Be (0.1714, 0.3427, 0.4898)
Al (0.0000, 0.0000, 0.5591)

4.
# K2UCl5O
Theoretical XRD peak list, Cu Ka. Input: DFT lattice parameters and positions (GGA-PBE).
Peak positions follow from Bragg's law for the DFT cell and can differ from measured ones.

Top 10 peaks for 2θ from 10° to 90°, in order of rising 2θ:
two_theta, I (rel.), index
14.92, 1000, 1 0 1
16.72, 280, 1 1 0
18.23, 176, 0 0 2
24.84, 392, 1 1 2
28.15, 449, 2 1 1
30.03, 197, 1 0 3
33.82, 338, 2 2 0
38.65, 290, 2 2 2
42.42, 195, 3 1 2
50.96, 182, 2 2 4

Crystal structure
a = 7.497 Å, b = 7.497 Å, c = 9.730 Å
α = 90.00°, β = 90.00°, γ = 90.00°
Space group I4mm (No. 107)
Inequivalent atoms, fractional coordinates:
K (0.000, 0.500, 0.000)
U (0.000, 0.000, 0.257)
Cl (0.000, 0.000, 0.993)
Cl (0.249, 0.249, 0.244)
O (0.000, 0.000, 0.446)

5.
# LiPuAs2Pd5
Theoretical XRD peak list, Cu Ka. Input: DFT lattice parameters and positions (GGA-PBE).
Peak positions follow from Bragg's law for the DFT cell and can differ from measured ones.

Top 10 peaks for 2θ from 10° to 90°, in order of rising 2θ:
two_theta, I (rel.), index
23.28, 267, 1 0 1
35.90, 1000, 1 1 2
42.08, 474, 1 1 3
43.22, 463, 2 0 0
44.35, 167, 2 0 1
62.78, 151, 2 2 0
67.09, 144, 2 0 5
67.93, 135, 1 1 6
74.49, 250, 3 1 2
78.49, 212, 3 1 3

Crystal structure
a = 4.186 Å, b = 4.186 Å, c = 9.358 Å
α = 90.00°, β = 90.00°, γ = 90.00°
Space group P4/mmm (No. 123)
Inequivalent atoms, fractional coordinates:
Li (0.000, 0.000, 0.000)
Pu (0.000, 0.000, 0.500)
As (0.500, 0.500, 0.132)
Pd (0.000, 0.500, 0.273)
Pd (0.500, 0.500, 0.500)

Q: What is the formula in the fourth record?
A: K2UCl5O